This entry pairs a crystal structure of La7Sm4Sc with its computed powder diffraction line list. Radiation: λ = 1.5418 Å (Cu Kα). Structure: a DFT-relaxed cell (GGA-PBE, Alexandria).
Neutral-atom scattering factors, no anomalous dispersion.

```
data_La7Sm4Sc
_chemical_formula_sum 'La7 Sm4 Sc1'
_cell_length_a 5.918
_cell_length_b 7.385
_cell_length_c 9.797
_cell_angle_alpha 79.40
_cell_angle_beta 89.92
_cell_angle_gamma 89.98
_symmetry_space_group_name_H-M 'P 1'
_symmetry_Int_Tables_number 1
loop_
_symmetry_equiv_pos_as_xyz
'x,y,z'
loop_
_atom_site_label
_atom_site_type_symbol
_atom_site_fract_x
_atom_site_fract_y
_atom_site_fract_z
La1 La 0.000 0.000 0.000
La2 La 0.000 0.156 0.323
La3 La 0.000 0.676 0.325
La4 La 0.001 0.332 0.656
La5 La 0.500 0.107 0.543
La6 La 0.500 0.442 0.216
La7 La 0.501 0.778 0.882
Sm1 Sm 0.000 0.500 0.991
Sm2 Sm 0.000 0.832 0.663
Sm3 Sm 0.500 0.277 0.884
Sm4 Sm 0.501 0.617 0.547
Sc1 Sc 0.500 0.944 0.214
```

Most intense lines, 10 to 90 degrees two-theta, low angle first:
2θ (°)	d/Å	I (rel.)
27.8	3.209	24
27.9	3.194	12
30.2	2.959	38
31.7	2.823	26
31.8	2.818	100
31.8	2.810	25
41.5	2.175	16
49.1	1.855	10
54.6	1.680	27
58.7	1.572	11
58.9	1.567	17
59.7	1.548	16

This entry pairs a crystal structure of La3Pd8Au with its computed powder diffraction line list. Radiation: λ = 1.5418 Å (Cu Kα). Structure: a DFT-relaxed cell (GGA-PBE, Alexandria).
Neutral-atom scattering factors, no anomalous dispersion.

```
data_La3Pd8Au
_chemical_formula_sum 'La9 Pd24 Au3'
_cell_length_a 5.4922
_cell_length_b 5.4922
_cell_length_c 27.1597
_cell_angle_alpha 90.00
_cell_angle_beta 90.00
_cell_angle_gamma 120.00
_symmetry_space_group_name_H-M 'R 3 m'
_symmetry_Int_Tables_number 160
_symmetry_space_group_name_Hall 'R 3 -2"'
loop_
_atom_site_label
_atom_site_type_symbol
_atom_site_fract_x
_atom_site_fract_y
_atom_site_fract_z
La1 La 0.0000 0.0000 0.0000
La2 La 0.0000 0.0000 0.1315
La3 La 0.0000 0.0000 0.6081
Pd1 Pd 0.0000 0.0000 0.3096
Pd2 Pd 0.0000 0.0000 0.8098
Pd3 Pd 0.0000 0.5000 0.0593
Pd4 Pd 0.0032 0.5016 0.5603
Au1 Au 0.0000 0.0000 0.4896
```

Most intense lines, 10 to 90 degrees two-theta, low angle first:
2θ (°)	d/Å	I (rel.)
32.4	2.763	22
32.6	2.746	26
38.2	2.359	28
38.4	2.346	100
39.8	2.263	12
40.2	2.245	29
58.1	1.589	8
61.9	1.499	14
62.0	1.496	16
67.8	1.382	13
68.3	1.373	18
82.1	1.174	8